No. 1
For Zn3Co2C12N12, a PBE-relaxed structure gives the simulated powder diffraction line list in this record (CuKα).
Kinematic intensities with the Lorentz-polarization factor, no thermal factor.

Largest 10 diffraction maxima, in order of rising 2θ, 2θ = 10–80°:
| Position (°2θ) | I (rel.) |
| --- | --- |
| 13.77 | 30 |
| 14.32 | 10 |
| 16.54 | 100 |
| 19.91 | 24 |
| 21.94 | 36 |
| 22.12 | 11 |
| 24.93 | 16 |
| 28.85 | 12 |
| 33.44 | 11 |
| 41.36 | 8 |

Atomic structure:
a b c (Å): 12.3740 12.3740 32.1621
angles (deg): 90.00 90.00 120.00
Space group R-3c (No. 167, hexagonal axes)
Asymmetric unit:
Zn  0.0000  0.2899  0.2500
Co  0.0000  0.0000  0.1463
C  0.0146  0.1299  0.8859
C  0.0159  0.1286  0.1801
N  0.0246  0.2149  0.9048
N  0.0260  0.2074  0.2024

=====

No. 2
For DyHoFe2Ni6B2, a PBE-relaxed structure gives the simulated powder diffraction line list in this record (CuKα).
Kinematic intensities with the Lorentz-polarization factor, no thermal factor.

Largest 10 diffraction maxima, in order of rising 2θ, 2θ = 10–80°:
| Position (°2θ) | I (rel.) |
| --- | --- |
| 20.46 | 17 |
| 32.88 | 98 |
| 35.84 | 31 |
| 41.62 | 79 |
| 44.47 | 100 |
| 62.53 | 31 |
| 65.01 | 15 |
| 68.94 | 16 |
| 70.42 | 24 |
| 75.95 | 21 |

Atomic structure:
a b c (Å): 5.0116 5.0116 6.9991
angles (deg): 90.00 90.00 120.00
Space group P6/mmm (No. 191)
Asymmetric unit:
Dy  0.0000  0.0000  0.0000
Ho  0.0000  0.0000  0.5000
Fe  0.3333  0.6667  0.5000
Ni  0.0000  0.5000  0.2069
B  0.3333  0.6667  0.0000

=====

No. 3
For NdMgAuSe2S, a PBE-relaxed structure gives the simulated powder diffraction line list in this record (CuKα).
Kinematic intensities with the Lorentz-polarization factor, no thermal factor.

Largest 10 diffraction maxima, in order of rising 2θ, 2θ = 10–80°:
| Position (°2θ) | I (rel.) |
| --- | --- |
| 13.46 | 78 |
| 28.99 | 58 |
| 33.36 | 18 |
| 34.94 | 100 |
| 36.12 | 27 |
| 41.16 | 13 |
| 43.50 | 18 |
| 44.77 | 25 |
| 46.28 | 18 |
| 56.96 | 26 |

Atomic structure:
a b c (Å): 3.9234 13.1578 10.7430
angles (deg): 90.00 90.00 90.00
Space group Cmcm (No. 63)
Asymmetric unit:
Nd  0.0000  0.0000  0.0000
Mg  0.0000  0.2439  0.2500
Au  0.0000  0.4808  0.7500
Se  0.0000  0.3423  0.5763
S  0.0000  0.1106  0.7500

=====

No. 4
For ZnPt7, a PBE-relaxed structure gives the simulated powder diffraction line list in this record (CuKα).
Kinematic intensities with the Lorentz-polarization factor, no thermal factor.

Largest 10 diffraction maxima, in order of rising 2θ, 2θ = 10–80°:
| Position (°2θ) | I (rel.) |
| --- | --- |
| 37.37 | 37 |
| 39.39 | 60 |
| 39.78 | 100 |
| 43.87 | 24 |
| 45.65 | 40 |
| 46.77 | 32 |
| 66.04 | 20 |
| 67.40 | 25 |
| 77.31 | 13 |
| 79.93 | 12 |

Atomic structure:
a b c (Å): 2.7918 3.8866 36.7802
angles (deg): 90.00 90.00 90.00
Space group Pmmn (No. 59, origin choice 2)
Asymmetric unit:
Zn  0.2500  0.2500  0.2131
Pt  0.2500  0.2500  0.2851
Pt  0.2500  0.2500  0.3638
Pt  0.2500  0.2500  0.4417
Pt  0.2500  0.2500  0.5193
Pt  0.2500  0.2500  0.5972
Pt  0.2500  0.2500  0.6759
Pt  0.2500  0.2500  0.7586